Diffraction record for Mg6ZrNi. The XRD peak list is computed, not measured: it uses the GGA-PBE geometry in Alexandria and CuKα.
No peak broadening, texture or thermal motion is included.

Largest 6 diffraction maxima, most intense first, 5 to 70 degrees two-theta:
2θ = 37.25°, intensity 100
2θ = 38.53°, intensity 71
2θ = 16.60°, intensity 60
2θ = 33.55°, intensity 41
2θ = 15.87°, intensity 24
2θ = 51.04°, intensity 24

Atomic structure:
abc: 4.821 6.083 11.167
angles: 90.00 90.00 90.00
Space group Amm2 (No. 38)
Unique sites:
1 Mg 0.000 0.000 0.000 (multiplicity 2)
2 Mg 0.000 0.244 0.746 (multiplicity 4)
3 Mg 0.500 0.000 0.158 (multiplicity 2)
4 Mg 0.500 0.245 0.397 (multiplicity 4)
5 Zr 0.500 0.000 0.631 (multiplicity 2)
6 Ni 0.000 0.000 0.514 (multiplicity 2)

Diffraction record for MgNp2O7. The XRD peak list is computed, not measured: it uses the GGA-PBE geometry in Alexandria and CuKα.
No peak broadening, texture or thermal motion is included.

Largest 6 diffraction maxima, most intense first, 5 to 70 degrees two-theta:
2θ = 27.20°, intensity 100
2θ = 18.51°, intensity 88
2θ = 27.74°, intensity 61
2θ = 47.74°, intensity 51
2θ = 34.87°, intensity 48
2θ = 31.25°, intensity 44

Atomic structure:
abc: 3.8105 3.8105 28.7545
angles: 90.00 90.00 120.00
Space group R-3m (No. 166, hexagonal axes)
Unique sites:
1 Mg 0.0000 0.0000 0.0000 (multiplicity 3)
2 Np 0.0000 0.0000 0.4285 (multiplicity 6)
3 O 0.0000 0.0000 0.0739 (multiplicity 6)
4 O 0.0000 0.0000 0.2226 (multiplicity 6)
5 O 0.0000 0.0000 0.3599 (multiplicity 6)
6 O 0.0000 0.0000 0.5000 (multiplicity 3)

Diffraction record for MgNpPaO6. The XRD peak list is computed, not measured: it uses the GGA-PBE geometry in Alexandria and CuKα.
No peak broadening, texture or thermal motion is included.

Largest 6 diffraction maxima, most intense first, 5 to 70 degrees two-theta:
2θ = 26.41°, intensity 100
2θ = 21.02°, intensity 43
2θ = 33.06°, intensity 42
2θ = 50.48°, intensity 39
2θ = 42.80°, intensity 28
2θ = 55.12°, intensity 27

Atomic structure:
abc: 5.4197 5.4197 9.7089
angles: 90.00 90.00 120.00
Space group P-31c (No. 163)
Unique sites:
1 Mg 0.3333 0.6667 0.2500 (multiplicity 2)
2 Np 0.3333 0.6667 0.7500 (multiplicity 2)
3 Pa 0.0000 0.0000 0.0000 (multiplicity 2)
4 O 0.0015 0.3341 0.1316 (multiplicity 12)

Diffraction record for Mg2NpScO6. The XRD peak list is computed, not measured: it uses the GGA-PBE geometry in Alexandria and CuKα.
No peak broadening, texture or thermal motion is included.

Largest 6 diffraction maxima, most intense first, 5 to 70 degrees two-theta:
2θ = 22.67°, intensity 100
2θ = 19.99°, intensity 77
2θ = 31.27°, intensity 68
2θ = 33.26°, intensity 53
2θ = 50.79°, intensity 42
2θ = 38.26°, intensity 39

Atomic structure:
abc: 5.3872 5.3872 14.4838
angles: 90.00 90.00 120.00
Space group R3 (No. 146, hexagonal axes)
Unique sites:
1 Mg 0.0000 0.0000 0.0000 (multiplicity 3)
2 Mg 0.0000 0.0000 0.4963 (multiplicity 3)
3 Np 0.0000 0.0000 0.7051 (multiplicity 3)
4 Sc 0.0000 0.0000 0.2077 (multiplicity 3)
5 O 0.0032 0.3012 0.1064 (multiplicity 9)
6 O 0.0312 0.6674 0.2730 (multiplicity 9)